Structure and computed powder diffractogram of Li4CaTl2Cd (a PBE-relaxed structure; copper Kα).
No peak broadening, texture or thermal motion is included.

Largest 6 diffraction maxima, by angle, 5° ≤ 2θ ≤ 70°:
Position (°2θ)	intensity
22.2	27.2
25.5	100.0
36.1	45.9
36.7	45.2
45.2	21.6
58.7	19.5

Atomic structure:
abc: 8.679 8.679 8.679
angles: 32.79 32.79 32.79
Atoms (fractional coordinates):
Li: 0.110 0.110 0.110
Li: 0.366 0.366 0.366
Li: 0.634 0.634 0.634
Li: 0.890 0.890 0.890
Ca: 0.500 0.500 0.500
Tl: 0.247 0.247 0.247
Tl: 0.753 0.753 0.753
Cd: 0.000 0.000 0.000

Structure and computed powder diffractogram of LiCaZnCd (a PBE-relaxed structure; copper Kα).
No peak broadening, texture or thermal motion is included.

Largest 6 diffraction maxima, by angle, 5° ≤ 2θ ≤ 70°:
Position (°2θ)	intensity
22.1	42.1
25.6	15.5
36.5	100.0
43.1	22.3
52.6	16.7
65.7	32.6

Atomic structure:
abc: 4.923 4.923 4.923
angles: 60.00 60.00 60.00
Atoms (fractional coordinates):
Li: 0.000 0.000 0.000
Ca: 0.750 0.750 0.750
Zn: 0.500 0.500 0.500
Cd: 0.250 0.250 0.250

Structure and computed powder diffractogram of CaMg4Cd4 (a PBE-relaxed structure; copper Kα).
No peak broadening, texture or thermal motion is included.

Largest 6 diffraction maxima, by angle, 5° ≤ 2θ ≤ 70°:
Position (°2θ)	intensity
17.8	27.1
22.7	15.8
34.3	100.0
38.4	35.7
58.6	19.6
66.9	24.5

Atomic structure:
abc: 7.343 7.343 7.343
angles: 94.81 94.81 146.34
Atoms (fractional coordinates):
Ca: 0.000 0.000 0.000
Mg: 0.000 0.337 0.337
Mg: 0.000 0.663 0.663
Mg: 0.337 0.000 0.337
Mg: 0.663 0.000 0.663
Cd: 0.325 0.325 0.651
Cd: 0.325 0.675 0.000
Cd: 0.675 0.325 0.000
Cd: 0.675 0.675 0.349

Structure and computed powder diffractogram of Ca12Mg6Cd (a PBE-relaxed structure; copper Kα).
No peak broadening, texture or thermal motion is included.

Largest 6 diffraction maxima, by angle, 5° ≤ 2θ ≤ 70°:
Position (°2θ)	intensity
23.4	49.1
29.9	77.9
31.1	60.3
31.6	100.0
32.4	89.4
33.2	69.0

Atomic structure:
abc: 8.653 8.653 8.653
angles: 87.64 87.64 87.64
Atoms (fractional coordinates):
Ca: 0.037 0.301 0.935
Ca: 0.065 0.963 0.699
Ca: 0.135 0.349 0.482
Ca: 0.301 0.935 0.037
Ca: 0.349 0.482 0.135
Ca: 0.482 0.135 0.349
Ca: 0.518 0.865 0.651
Ca: 0.651 0.518 0.865
Ca: 0.699 0.065 0.963
Ca: 0.865 0.651 0.518
Ca: 0.935 0.037 0.301
Ca: 0.963 0.699 0.065
Mg: 0.242 0.757 0.398
Mg: 0.243 0.602 0.758
Mg: 0.398 0.242 0.757
Mg: 0.602 0.758 0.243
Mg: 0.757 0.398 0.242
Mg: 0.758 0.243 0.602
Cd: 0.500 0.500 0.500

Structure and computed powder diffractogram of CaMg5Cd6 (a PBE-relaxed structure; copper Kα).
No peak broadening, texture or thermal motion is included.

Largest 6 diffraction maxima, by angle, 5° ≤ 2θ ≤ 70°:
Position (°2θ)	intensity
22.9	26.3
26.0	39.8
35.0	100.0
37.0	21.9
37.4	20.9
65.3	15.5

Atomic structure:
abc: 7.621 7.621 7.758
angles: 90.00 90.00 142.79
Atoms (fractional coordinates):
Ca: 0.000 0.000 0.000
Mg: 0.000 0.000 0.500
Mg: 0.330 0.670 0.000
Mg: 0.334 0.666 0.500
Mg: 0.666 0.334 0.500
Mg: 0.670 0.330 0.000
Cd: 0.170 0.830 0.259
Cd: 0.170 0.830 0.741
Cd: 0.500 0.500 0.265
Cd: 0.500 0.500 0.735
Cd: 0.830 0.170 0.259
Cd: 0.830 0.170 0.741

Structure and computed powder diffractogram of Ca5Mg2Cd (a PBE-relaxed structure; copper Kα).
No peak broadening, texture or thermal motion is included.

Largest 6 diffraction maxima, by angle, 5° ≤ 2θ ≤ 70°:
Position (°2θ)	intensity
13.0	16.6
14.2	30.9
30.1	28.7
30.8	100.0
32.4	34.4
32.9	23.3

Atomic structure:
abc: 7.039 13.635 5.525
angles: 90.00 90.00 90.00
Atoms (fractional coordinates):
Ca: 0.000 0.000 0.000
Ca: 0.119 0.272 0.000
Ca: 0.165 0.606 0.500
Ca: 0.335 0.106 0.500
Ca: 0.381 0.772 0.000
Ca: 0.500 0.500 0.000
Ca: 0.619 0.228 0.000
Ca: 0.665 0.894 0.500
Ca: 0.835 0.394 0.500
Ca: 0.881 0.728 0.000
Mg: 0.151 0.866 0.500
Mg: 0.349 0.366 0.500
Mg: 0.651 0.634 0.500
Mg: 0.849 0.134 0.500
Cd: 0.000 0.500 0.000
Cd: 0.500 0.000 0.000

Structure and computed powder diffractogram of CaMg6Cd6 (a PBE-relaxed structure; copper Kα).
No peak broadening, texture or thermal motion is included.

Largest 6 diffraction maxima, by angle, 5° ≤ 2θ ≤ 70°:
Position (°2θ)	intensity
12.5	40.5
29.7	62.6
30.2	100.0
35.4	55.8
35.8	54.5
39.3	52.6

Atomic structure:
abc: 7.701 7.701 7.701
angles: 134.04 100.41 97.14
Atoms (fractional coordinates):
Ca: 0.000 0.000 0.000
Mg: 0.000 0.000 0.500
Mg: 0.000 0.500 0.000
Mg: 0.223 0.500 0.723
Mg: 0.500 0.000 0.000
Mg: 0.500 0.500 0.500
Mg: 0.777 0.500 0.277
Cd: 0.202 0.702 0.500
Cd: 0.345 0.000 0.345
Cd: 0.349 0.349 0.000
Cd: 0.651 0.651 0.000
Cd: 0.655 0.000 0.655
Cd: 0.798 0.298 0.500

Structure and computed powder diffractogram of CaMgCd4 (a PBE-relaxed structure; copper Kα).
No peak broadening, texture or thermal motion is included.

Largest 6 diffraction maxima, by angle, 5° ≤ 2θ ≤ 70°:
Position (°2θ)	intensity
20.7	43.9
26.4	66.8
33.0	49.8
34.6	36.2
35.7	100.0
36.6	52.9

Atomic structure:
abc: 5.044 5.044 6.789
angles: 94.93 94.93 58.29
Atoms (fractional coordinates):
Ca: 0.000 0.000 0.000
Mg: 0.999 0.001 0.500
Cd: 0.316 0.316 0.735
Cd: 0.355 0.355 0.261
Cd: 0.645 0.645 0.739
Cd: 0.684 0.684 0.265

Structure and computed powder diffractogram of Ca2Mg3Cd4 (a PBE-relaxed structure; copper Kα).
No peak broadening, texture or thermal motion is included.

Largest 6 diffraction maxima, by angle, 5° ≤ 2θ ≤ 70°:
Position (°2θ)	intensity
23.0	36.8
23.4	55.7
31.1	41.0
32.1	48.5
35.8	100.0
37.6	53.0

Atomic structure:
abc: 9.301 9.301 8.332
angles: 90.00 90.00 140.47
Atoms (fractional coordinates):
Ca: 0.099 0.901 0.899
Ca: 0.401 0.599 0.399
Ca: 0.599 0.401 0.601
Ca: 0.901 0.099 0.101
Mg: 0.000 0.000 0.500
Mg: 0.013 0.487 0.750
Mg: 0.487 0.013 0.250
Mg: 0.500 0.500 0.000
Mg: 0.513 0.987 0.750
Mg: 0.987 0.513 0.250
Cd: 0.169 0.831 0.519
Cd: 0.182 0.318 0.750
Cd: 0.318 0.182 0.250
Cd: 0.331 0.669 0.019
Cd: 0.669 0.331 0.981
Cd: 0.682 0.818 0.750
Cd: 0.818 0.682 0.250
Cd: 0.831 0.169 0.481

Structure and computed powder diffractogram of CaMg2Cd9 (a PBE-relaxed structure; copper Kα).
No peak broadening, texture or thermal motion is included.

Largest 6 diffraction maxima, by angle, 5° ≤ 2θ ≤ 70°:
Position (°2θ)	intensity
14.7	27.5
20.1	33.8
32.9	75.1
33.3	58.0
38.6	31.8
39.2	100.0

Atomic structure:
abc: 9.348 9.348 9.348
angles: 99.97 99.97 130.83
Atoms (fractional coordinates):
Ca: 0.375 0.625 0.750
Ca: 0.625 0.375 0.250
Mg: 0.000 0.000 0.000
Mg: 0.000 0.000 0.500
Mg: 0.000 0.500 0.000
Mg: 0.500 0.000 0.500
Cd: 0.125 0.875 0.250
Cd: 0.128 0.554 0.333
Cd: 0.128 0.796 0.574
Cd: 0.204 0.279 0.333
Cd: 0.204 0.872 0.926
Cd: 0.279 0.204 0.833
Cd: 0.279 0.446 0.074
Cd: 0.446 0.279 0.574
Cd: 0.446 0.872 0.167
Cd: 0.554 0.128 0.833
Cd: 0.554 0.721 0.426
Cd: 0.721 0.554 0.926
Cd: 0.721 0.796 0.167
Cd: 0.796 0.128 0.074
Cd: 0.796 0.721 0.667
Cd: 0.872 0.204 0.426
Cd: 0.872 0.446 0.667
Cd: 0.875 0.125 0.750

Structure and computed powder diffractogram of Ca6MgCd (a PBE-relaxed structure; copper Kα).
No peak broadening, texture or thermal motion is included.

Largest 6 diffraction maxima, by angle, 5° ≤ 2θ ≤ 70°:
Position (°2θ)	intensity
9.3	27.4
16.8	22.0
29.7	100.0
32.6	44.5
46.8	15.1
56.4	28.8

Atomic structure:
abc: 10.280 10.280 10.280
angles: 149.00 149.00 44.41
Atoms (fractional coordinates):
Ca: 0.102 0.602 0.500
Ca: 0.249 0.249 0.000
Ca: 0.398 0.898 0.500
Ca: 0.602 0.102 0.500
Ca: 0.751 0.751 0.000
Ca: 0.898 0.398 0.500
Mg: 0.000 0.000 0.000
Cd: 0.500 0.500 0.000

Structure and computed powder diffractogram of CaMg4Cd8 (a PBE-relaxed structure; copper Kα).
No peak broadening, texture or thermal motion is included.

Largest 6 diffraction maxima, by angle, 5° ≤ 2θ ≤ 70°:
Position (°2θ)	intensity
25.3	41.4
29.5	55.2
30.7	43.4
35.8	100.0
39.2	56.5
40.2	54.3

Atomic structure:
abc: 7.656 7.656 7.656
angles: 99.01 99.01 133.37
Atoms (fractional coordinates):
Ca: 0.000 0.000 0.000
Mg: 0.000 0.000 0.500
Mg: 0.000 0.500 0.000
Mg: 0.500 0.000 0.000
Mg: 0.500 0.500 0.500
Cd: 0.000 0.346 0.346
Cd: 0.000 0.654 0.654
Cd: 0.284 0.500 0.784
Cd: 0.346 0.000 0.346
Cd: 0.500 0.284 0.784
Cd: 0.500 0.716 0.216
Cd: 0.654 0.000 0.654
Cd: 0.716 0.500 0.216